No. 1
Simulated powder diffraction line list of SrMg6NiO8 for Cu Kα (λ = 1.5418 Å), from DFT lattice parameters and positions (GGA+U).

```
data_SrMg6NiO8
_cell_length_a 4.490
_cell_length_b 4.490
_cell_length_c 8.679
_cell_angle_alpha 90.00
_cell_angle_beta 90.00
_cell_angle_gamma 90.00
_symmetry_space_group_name_H-M 'P 4/m m m'
_symmetry_Int_Tables_number 123
_symmetry_space_group_name_Hall '-P 4 2'
loop_
_atom_site_label
_atom_site_type_symbol
_atom_site_fract_x
_atom_site_fract_y
_atom_site_fract_z
_atom_site_occupancy
Sr1 Sr 0.000 0.000 0.000 1
Mg1 Mg 0.000 0.500 0.262 1
Mg2 Mg 0.500 0.500 0.000 1
Mg3 Mg 0.500 0.500 0.500 1
Ni1 Ni 0.000 0.000 0.500 1
O1 O 0.000 0.000 0.273 1
O2 O 0.000 0.500 0.000 1
O3 O 0.000 0.500 0.500 1
O4 O 0.500 0.500 0.252 1
```

Largest 10 diffraction maxima, sorted by position, 5 to 70 degrees two-theta:
2θ (°)  Rel. int.
19.8  34
20.5  16
28.1  14
28.6  28
35.0  47
40.2  100
41.6  43
58.1  30
59.2  54
69.7  16

---

No. 2
Simulated powder diffraction line list of Li9Mn2Co5O16 for Cu Kα (λ = 1.5418 Å), from DFT lattice parameters and positions (GGA+U).

```
data_Li9Mn2Co5O16
_cell_length_a 10.321
_cell_length_b 11.520
_cell_length_c 5.148
_cell_angle_alpha 90.00
_cell_angle_beta 111.34
_cell_angle_gamma 90.00
_symmetry_space_group_name_H-M 'C 1 2/m 1'
_symmetry_Int_Tables_number 12
loop_
_symmetry_equiv_pos_as_xyz
'x,y,z'
'-x,-y,-z'
'-x,y,-z'
'x,-y,z'
'x+1/2,y+1/2,z'
'-x+1/2,-y+1/2,-z'
'-x+1/2,y+1/2,-z'
'x+1/2,-y+1/2,z'
loop_
_atom_site_label
_atom_site_type_symbol
_atom_site_fract_x
_atom_site_fract_y
_atom_site_fract_z
_atom_site_occupancy
Li1 Li 0.000 0.000 0.000 1
Li2 Li 0.245 0.000 0.490 1
Li3 Li 0.250 0.125 0.998 1
Li4 Li 0.250 0.250 0.500 1
Mn1 Mn 0.000 0.125 0.500 1
Co1 Co 0.000 0.248 0.000 1
Co2 Co 0.000 0.374 0.500 1
Co3 Co 0.000 0.500 0.000 1
O1 O 0.107 0.131 0.253 1
O2 O 0.110 0.372 0.235 1
O3 O 0.117 0.000 0.717 1
O4 O 0.119 0.246 0.728 1
O5 O 0.119 0.500 0.738 1
```

Largest 10 diffraction maxima, sorted by position, 5 to 70 degrees two-theta:
2θ (°)  Rel. int.
12.0  10
18.5  100
35.2  16
36.4  25
42.5  30
44.3  52
47.6  9
58.4  9
63.0  15
63.1  15

---

No. 3
Simulated powder diffraction line list of Lu2MgW2Cl2O8 for Cu Kα (λ = 1.5418 Å), from DFT lattice parameters and positions (GGA+U).

```
data_Lu2MgW2Cl2O8
_cell_length_a 6.182
_cell_length_b 6.703
_cell_length_c 7.032
_cell_angle_alpha 72.75
_cell_angle_beta 65.53
_cell_angle_gamma 79.82
_symmetry_space_group_name_H-M 'P 1'
_symmetry_Int_Tables_number 1
loop_
_symmetry_equiv_pos_as_xyz
'x,y,z'
loop_
_atom_site_label
_atom_site_type_symbol
_atom_site_fract_x
_atom_site_fract_y
_atom_site_fract_z
_atom_site_occupancy
Lu1 Lu 0.000 0.000 0.000 1
Lu2 Lu 0.354 0.402 0.590 1
Mg1 Mg 0.893 0.782 0.474 1
W1 W 0.020 0.391 0.206 1
W2 W 0.322 0.997 0.417 1
Cl1 Cl 0.651 0.501 0.734 1
Cl2 Cl 0.733 0.960 0.806 1
O1 O 0.039 0.685 0.176 1
O2 O 0.082 0.049 0.276 1
O3 O 0.104 0.332 0.928 1
O4 O 0.208 0.713 0.524 1
O5 O 0.251 0.320 0.350 1
O6 O 0.276 0.053 0.686 1
O7 O 0.646 0.951 0.296 1
O8 O 0.698 0.384 0.328 1
```

Largest 10 diffraction maxima, sorted by position, 5 to 70 degrees two-theta:
2θ (°)  Rel. int.
15.8  80
16.7  58
24.6  50
25.2  100
26.4  48
27.9  69
28.7  42
29.4  54
35.9  42
42.5  45

---

No. 4
Simulated powder diffraction line list of V2CdO6 for Cu Kα (λ = 1.5418 Å), from DFT lattice parameters and positions (GGA+U).

```
data_V2CdO6
_cell_length_a 10.088
_cell_length_b 3.658
_cell_length_c 7.220
_cell_angle_alpha 90.00
_cell_angle_beta 102.87
_cell_angle_gamma 90.00
_symmetry_space_group_name_H-M 'C 1 2/m 1'
_symmetry_Int_Tables_number 12
loop_
_symmetry_equiv_pos_as_xyz
'x,y,z'
'-x,-y,-z'
'-x,y,-z'
'x,-y,z'
'x+1/2,y+1/2,z'
'-x+1/2,-y+1/2,-z'
'-x+1/2,y+1/2,-z'
'x+1/2,-y+1/2,z'
loop_
_atom_site_label
_atom_site_type_symbol
_atom_site_fract_x
_atom_site_fract_y
_atom_site_fract_z
_atom_site_occupancy
V1 V 0.233 0.000 0.172 1
Cd1 Cd 0.000 0.000 0.500 1
O1 O 0.084 0.000 0.234 1
O2 O 0.139 0.500 0.626 1
O3 O 0.248 0.500 0.101 1
```

Largest 10 diffraction maxima, sorted by position, 5 to 70 degrees two-theta:
2θ (°)  Rel. int.
12.6  32
19.6  94
24.3  97
26.0  66
27.7  65
29.9  100
36.5  28
36.9  60
38.4  29
45.1  28

---

No. 5
Simulated powder diffraction line list of La4Ga3FeO12 for Cu Kα (λ = 1.5418 Å), from DFT lattice parameters and positions (GGA+U).

```
data_La4Ga3FeO12
_cell_length_a 5.574
_cell_length_b 5.598
_cell_length_c 7.889
_cell_angle_alpha 89.94
_cell_angle_beta 89.97
_cell_angle_gamma 89.98
_symmetry_space_group_name_H-M 'P -1'
_symmetry_Int_Tables_number 2
loop_
_symmetry_equiv_pos_as_xyz
'x,y,z'
'-x,-y,-z'
loop_
_atom_site_label
_atom_site_type_symbol
_atom_site_fract_x
_atom_site_fract_y
_atom_site_fract_z
_atom_site_occupancy
La1 La 0.007 0.032 0.249 1
La2 La 0.491 0.532 0.249 1
Ga1 Ga 0.000 0.500 0.000 1
Ga2 Ga 0.000 0.500 0.500 1
Ga3 Ga 0.500 0.000 0.000 1
Fe1 Fe 0.500 0.000 0.500 1
O1 O 0.081 0.516 0.751 1
O2 O 0.215 0.782 0.458 1
O3 O 0.218 0.782 0.043 1
O4 O 0.281 0.282 0.043 1
O5 O 0.281 0.285 0.457 1
O6 O 0.422 0.016 0.752 1
```

Largest 10 diffraction maxima, sorted by position, 5 to 70 degrees two-theta:
2θ (°)  Rel. int.
22.5  13
32.0  100
32.1  50
39.5  8
39.6  8
46.0  42
53.0  5
57.1  22
57.2  39
67.1  15

---

No. 6
Simulated powder diffraction line list of MnCo3O8 for Cu Kα (λ = 1.5418 Å), from DFT lattice parameters and positions (GGA+U).

```
data_MnCo3O8
_cell_length_a 5.6263
_cell_length_b 5.6263
_cell_length_c 8.7089
_cell_angle_alpha 90.00
_cell_angle_beta 90.00
_cell_angle_gamma 120.00
_symmetry_space_group_name_H-M 'P 63 m c'
_symmetry_Int_Tables_number 186
_symmetry_space_group_name_Hall 'P 6c -2c'
loop_
_atom_site_label
_atom_site_type_symbol
_atom_site_fract_x
_atom_site_fract_y
_atom_site_fract_z
_atom_site_occupancy
Mn1 Mn 0.3333 0.6667 0.0000 1
Co1 Co 0.1674 0.3348 0.7239 1
O1 O 0.0000 0.0000 0.3351 1
O2 O 0.0382 0.5191 0.8519 1
O3 O 0.1640 0.3281 0.1196 1
O4 O 0.3333 0.6667 0.6130 1
```

Largest 10 diffraction maxima, sorted by position, 5 to 70 degrees two-theta:
2θ (°)  Rel. int.
20.4  72
20.9  100
27.5  34
36.0  27
38.1  47
38.4  56
42.5  40
48.8  58
65.9  39
66.5  37

---

Which formula does entry 1 have? SrMg6NiO8